1.
This entry pairs a crystal structure of Nd8Ho5In with its simulated powder XRD pattern. Radiation: Cu Kα X-rays. Structure: a crystal structure in Alexandria, relaxed with PBE.

Principal peaks in the range 10 to 90 degrees two-theta, sorted by position:
- 2θ 24.60, d = 3.619 Å, intensity 27
- 2θ 29.90, d = 2.988 Å, intensity 30
- 2θ 30.54, d = 2.927 Å, intensity 27
- 2θ 30.69, d = 2.913 Å, intensity 52
- 2θ 31.01, d = 2.884 Å, intensity 86
- 2θ 31.36, d = 2.853 Å, intensity 57
- 2θ 32.59, d = 2.748 Å, intensity 100
- 2θ 33.64, d = 2.665 Å, intensity 15
- 2θ 39.14, d = 2.301 Å, intensity 15
- 2θ 43.28, d = 2.090 Å, intensity 10
- 2θ 56.68, d = 1.624 Å, intensity 12
- 2θ 58.82, d = 1.570 Å, intensity 10

Cell and atoms:
```
Nd8Ho5In
1.0
7.791 -4.210 0.000
7.791 4.210 0.000
-4.432 0.000 7.239
Nd Ho In
8 5 1
Cartesian
4.596 1.741 0.613
1.107 0.000 1.306
1.582 -0.792 5.622
6.554 1.741 6.626
3.046 -2.288 3.083
9.568 -0.792 1.617
10.043 0.000 5.933
8.104 -2.288 4.156
5.575 3.866 3.619
3.825 1.107 3.966
7.325 1.107 3.273
6.057 -1.663 1.643
5.092 -1.663 5.596
7.791 1.319 0.000
```

---

2.
This entry pairs a crystal structure of Nd4HoIn3 with its simulated powder XRD pattern. Radiation: Cu Kα X-rays. Structure: a crystal structure in Alexandria, relaxed with PBE.

Principal peaks in the range 10 to 90 degrees two-theta, sorted by position:
- 2θ 29.44, d = 3.034 Å, intensity 7
- 2θ 32.07, d = 2.791 Å, intensity 94
- 2θ 32.54, d = 2.751 Å, intensity 100
- 2θ 46.34, d = 1.959 Å, intensity 34
- 2θ 56.88, d = 1.619 Å, intensity 13
- 2θ 57.77, d = 1.596 Å, intensity 35
- 2θ 58.07, d = 1.588 Å, intensity 19
- 2θ 60.64, d = 1.527 Å, intensity 6
- 2θ 67.08, d = 1.395 Å, intensity 8
- 2θ 68.17, d = 1.376 Å, intensity 12
- 2θ 76.56, d = 1.244 Å, intensity 11
- 2θ 77.34, d = 1.234 Å, intensity 15

Cell and atoms:
```
Nd4HoIn3
1.0
2.751 1.588 9.180
-2.751 1.588 9.180
0.000 -3.177 9.180
Nd Ho In
4 1 3
Cartesian
0.000 0.000 3.252
0.000 0.000 10.173
0.000 0.000 17.366
0.000 0.000 24.288
0.000 0.000 13.770
0.000 0.000 0.000
0.000 0.000 6.640
0.000 0.000 20.900
```